Simulated X-ray powder pattern
Compound: NdEr3Fe34
Radiation: copper Kα
Structure: a DFT-relaxed cell (PBE, the Materials Project)
Kinematic intensities with the Lorentz-polarization factor, no thermal factor.

Top 10 peaks for 2θ = 10–90°, in order of rising 2θ:
(hkl), d [Å], two_theta, Rel. int.
3 1 0, 2.958, 30.2, 41
2 0 4, 2.446, 36.7, 42
2 2 -4, 2.368, 38.0, 26
0 4 0, 2.119, 42.7, 61
4 0 2, 2.105, 43.0, 100
4 0 -4, 2.066, 43.8, 48
0 2 6, 1.885, 48.3, 17
5 3 -4, 1.493, 62.2, 21
4 4 -4, 1.480, 62.8, 21
4 0 8, 1.223, 78.1, 17

Cell and atoms:
a b c (Å): 9.612 8.476 12.796
angles (deg): 90.00 99.53 90.00
Space group Cm (No. 8)
Inequivalent atoms, fractional coordinates:
Nd (0.000, 0.000, 0.000)
Er (0.318, 0.000, 0.342)
Er (0.318, 0.000, 0.842)
Er (0.499, 0.500, 0.501)
Fe (0.002, 0.000, 0.251)
Fe (0.002, 0.000, 0.748)
Fe (0.011, 0.352, 0.523)
Fe (0.012, 0.354, 0.024)
Fe (0.061, 0.500, 0.221)
Fe (0.061, 0.500, 0.719)
Fe (0.065, 0.250, 0.343)
Fe (0.065, 0.252, 0.842)
Fe (0.157, 0.500, 0.921)
Fe (0.158, 0.205, 0.671)
Fe (0.158, 0.500, 0.421)
Fe (0.159, 0.208, 0.172)
Fe (0.252, 0.250, 0.000)
Fe (0.252, 0.250, 0.499)
Fe (0.254, 0.500, 0.123)
Fe (0.255, 0.500, 0.622)
Fe (0.304, 0.352, 0.817)
Fe (0.306, 0.352, 0.319)
Fe (0.314, 0.000, 0.593)
Fe (0.316, 0.000, 0.094)
Fe (0.408, 0.249, 0.172)
Fe (0.408, 0.250, 0.671)

=====

Simulated X-ray powder pattern
Compound: BaNbNO2
Radiation: copper Kα
Structure: a DFT-relaxed cell (PBE, the Materials Project)
Kinematic intensities with the Lorentz-polarization factor, no thermal factor.

Top 10 peaks for 2θ = 10–90°, in order of rising 2θ:
(hkl), d [Å], two_theta, Rel. int.
1 0 1, 2.944, 30.4, 100
2 0 0, 2.085, 43.4, 20
0 0 2, 2.076, 43.6, 10
2 1 1, 1.701, 53.9, 27
1 1 2, 1.697, 54.0, 13
2 0 2, 1.471, 63.2, 12
3 0 1, 1.318, 71.6, 11
3 2 1, 1.114, 87.6, 7
3 1 2, 1.113, 87.7, 7
2 1 3, 1.111, 87.9, 7

Cell and atoms:
a b c (Å): 4.169 4.169 4.151
angles (deg): 90.00 90.00 90.00
Space group P4/mmm (No. 123)
Inequivalent atoms, fractional coordinates:
Ba (0.000, 0.000, 0.000)
Nb (0.500, 0.500, 0.500)
N (0.500, 0.500, 0.000)
O (0.000, 0.500, 0.500)

=====

Simulated X-ray powder pattern
Compound: SiO2
Radiation: copper Kα
Structure: a DFT-relaxed cell (PBE, the Materials Project)
Kinematic intensities with the Lorentz-polarization factor, no thermal factor.

Top 10 peaks for 2θ = 10–90°, in order of rising 2θ:
(hkl), d [Å], two_theta, Rel. int.
2 0 0, 6.623, 13.4, 23
0 4 0, 5.428, 16.3, 55
0 2 1, 4.752, 18.7, 100
3 1 0, 4.327, 20.5, 47
1 3 1, 4.063, 21.9, 98
2 2 1, 3.861, 23.0, 19
4 0 0, 3.312, 26.9, 27
2 4 1, 3.287, 27.1, 17
4 4 0, 2.827, 31.6, 19
1 7 1, 2.622, 34.2, 20

Cell and atoms:
a b c (Å): 13.246 21.712 5.285
angles (deg): 90.00 90.00 90.00
Space group Cmcm (No. 63)
Inequivalent atoms, fractional coordinates:
Si (0.116, 0.243, 0.250)
Si (0.118, 0.040, 0.750)
Si (0.192, 0.176, 0.750)
O (0.000, 0.062, 0.750)
O (0.000, 0.268, 0.250)
O (0.135, 0.201, 0.000)
O (0.143, 0.000, 0.000)
O (0.190, 0.101, 0.750)
O (0.190, 0.303, 0.250)

=====

Simulated X-ray powder pattern
Compound: HfBeO3
Radiation: copper Kα
Structure: a DFT-relaxed cell (PBE, the Materials Project)
Kinematic intensities with the Lorentz-polarization factor, no thermal factor.

Top 8 peaks for 2θ = 10–90°, in order of rising 2θ:
(hkl), d [Å], two_theta, Rel. int.
1 0 0, 3.438, 25.9, 100
1 1 0, 2.431, 37.0, 96
1 1 1, 1.985, 45.7, 60
2 0 0, 1.719, 53.3, 31
2 1 0, 1.538, 60.2, 42
2 1 1, 1.404, 66.6, 36
2 2 0, 1.216, 78.7, 19
3 0 0, 1.146, 84.5, 21

Cell and atoms:
a b c (Å): 3.438 3.438 3.438
angles (deg): 90.00 90.00 90.00
Space group Pm-3m (No. 221)
Inequivalent atoms, fractional coordinates:
Hf (0.000, 0.000, 0.000)
Be (0.500, 0.500, 0.500)
O (0.000, 0.500, 0.500)

=====

Copy entry 3 word for word.
Simulated X-ray powder pattern
Compound: SiO2
Radiation: copper Kα
Structure: a DFT-relaxed cell (PBE, the Materials Project)
Kinematic intensities with the Lorentz-polarization factor, no thermal factor.

Top 10 peaks for 2θ = 10–90°, in order of rising 2θ:
(hkl), d [Å], two_theta, Rel. int.
2 0 0, 6.623, 13.4, 23
0 4 0, 5.428, 16.3, 55
0 2 1, 4.752, 18.7, 100
3 1 0, 4.327, 20.5, 47
1 3 1, 4.063, 21.9, 98
2 2 1, 3.861, 23.0, 19
4 0 0, 3.312, 26.9, 27
2 4 1, 3.287, 27.1, 17
4 4 0, 2.827, 31.6, 19
1 7 1, 2.622, 34.2, 20

Cell and atoms:
a b c (Å): 13.246 21.712 5.285
angles (deg): 90.00 90.00 90.00
Space group Cmcm (No. 63)
Inequivalent atoms, fractional coordinates:
Si (0.116, 0.243, 0.250)
Si (0.118, 0.040, 0.750)
Si (0.192, 0.176, 0.750)
O (0.000, 0.062, 0.750)
O (0.000, 0.268, 0.250)
O (0.135, 0.201, 0.000)
O (0.143, 0.000, 0.000)
O (0.190, 0.101, 0.750)
O (0.190, 0.303, 0.250)